The following is a computed powder XRD pattern of Hf7TiPb2. It was derived from a crystal structure in Alexandria, relaxed with GGA-PBE, using Cu Ka.
Lines closer than 0.1° are merged.

Peak list (6 most intense, 10° ≤ 2θ ≤ 90°, in order of rising 2θ)
| two_theta | d_spacing | I_rel |
| --- | --- | --- |
| 30.47 | 2.933 | 100 |
| 35.33 | 2.540 | 94 |
| 50.83 | 1.796 | 67 |
| 60.43 | 1.532 | 43 |
| 63.42 | 1.467 | 23 |
| 85.46 | 1.136 | 31 |

```
Hf7TiPb2
1.0
0.000 5.081 5.081
5.081 0.000 5.081
5.081 5.081 0.000
Hf Ti Pb
7 1 2
Cartesian
0.000 0.000 0.000 Hf
5.081 5.081 2.619 Hf
5.081 2.619 5.081 Hf
7.543 5.081 5.081 Hf
2.619 5.081 5.081 Hf
5.081 7.543 5.081 Hf
5.081 5.081 7.543 Hf
5.081 5.081 5.081 Ti
2.540 2.540 2.540 Pb
7.621 7.621 7.621 Pb
```

***

The following is a computed powder XRD pattern of Tm6InCu2. It was derived from a crystal structure in Alexandria, relaxed with GGA-PBE, using Cu Ka.
Lines closer than 0.1° are merged.

Peak list (6 most intense, 10° ≤ 2θ ≤ 90°, in order of rising 2θ)
| two_theta | d_spacing | I_rel |
| --- | --- | --- |
| 30.33 | 2.947 | 24 |
| 32.05 | 2.793 | 100 |
| 34.11 | 2.628 | 36 |
| 34.38 | 2.609 | 52 |
| 35.05 | 2.560 | 36 |
| 60.38 | 1.533 | 26 |

```
Tm6InCu2
1.0
-4.641 4.831 5.067
4.641 -4.831 5.067
4.641 4.831 -5.067
Tm In Cu
12 2 4
Cartesian
4.641 2.896 -2.656 Tm
2.637 1.794 0.000 Tm
6.645 1.794 0.000 Tm
1.820 4.831 -1.803 Tm
2.822 0.000 3.265 Tm
0.000 1.935 2.411 Tm
4.641 2.896 2.656 Tm
1.820 4.831 1.803 Tm
2.822 0.000 6.870 Tm
-2.004 3.037 5.067 Tm
2.004 3.037 5.067 Tm
0.000 1.935 7.724 Tm
0.000 0.000 0.000 In
0.000 0.000 5.067 In
4.641 0.000 1.219 Cu
0.000 3.364 0.000 Cu
0.000 6.298 0.000 Cu
0.000 4.831 3.848 Cu
```

***

The following is a computed powder XRD pattern of NaTaSe2O. It was derived from a crystal structure in Alexandria, relaxed with GGA-PBE, using Cu Ka.
Lines closer than 0.1° are merged.

Peak list (6 most intense, 10° ≤ 2θ ≤ 90°, in order of rising 2θ)
| two_theta | d_spacing | I_rel |
| --- | --- | --- |
| 17.15 | 5.171 | 100 |
| 22.79 | 3.902 | 77 |
| 28.66 | 3.115 | 68 |
| 34.69 | 2.586 | 87 |
| 41.92 | 2.155 | 63 |
| 49.91 | 1.827 | 43 |

```
NaTaSe2O
1.0
5.171 0.000 0.000
0.000 5.171 0.000
0.000 0.000 3.902
Na Ta Se O
1 1 2 1
Cartesian
0.000 0.000 0.000 Na
2.586 2.586 1.951 Ta
0.000 2.586 1.951 Se
2.586 0.000 1.951 Se
2.586 2.586 0.000 O
```

***

The following is a computed powder XRD pattern of Ag2Pb3O8. It was derived from a crystal structure in Alexandria, relaxed with GGA-PBE, using Cu Ka.
Lines closer than 0.1° are merged.

Peak list (6 most intense, 10° ≤ 2θ ≤ 90°, in order of rising 2θ)
| two_theta | d_spacing | I_rel |
| --- | --- | --- |
| 16.61 | 5.336 | 76 |
| 31.26 | 2.862 | 100 |
| 31.36 | 2.853 | 57 |
| 33.79 | 2.653 | 43 |
| 43.63 | 2.075 | 48 |
| 49.31 | 1.848 | 45 |

```
Ag2Pb3O8
1.0
5.483 -3.308 0.000
5.483 3.308 0.000
-1.350 0.000 5.705
Ag Pb O
2 3 8
Cartesian
2.283 0.000 0.330 Ag
7.333 0.000 5.376 Ag
4.808 1.722 2.853 Pb
5.483 0.000 0.000 Pb
4.808 -1.722 2.853 Pb
0.599 0.000 2.130 O
3.924 1.475 0.714 O
3.552 0.000 3.592 O
5.693 1.475 4.992 O
3.924 -1.475 0.714 O
6.065 0.000 2.113 O
5.693 -1.475 4.992 O
9.018 0.000 3.575 O
```

***

The following is a computed powder XRD pattern of NpCo5Ge6. It was derived from a crystal structure in Alexandria, relaxed with GGA-PBE, using Cu Ka.
Lines closer than 0.1° are merged.

Peak list (6 most intense, 10° ≤ 2θ ≤ 90°, in order of rising 2θ)
| two_theta | d_spacing | I_rel |
| --- | --- | --- |
| 37.34 | 2.408 | 100 |
| 37.58 | 2.393 | 12 |
| 40.82 | 2.210 | 26 |
| 46.60 | 1.949 | 13 |
| 48.01 | 1.895 | 31 |
| 59.24 | 1.560 | 11 |

```
NpCo5Ge6
1.0
2.627 -5.325 0.000
2.627 5.325 0.000
-2.560 0.000 6.226
Np Co Ge
1 5 6
Cartesian
0.000 0.000 0.000 Np
1.347 4.082 3.113 Co
2.627 2.059 0.000 Co
1.347 0.000 3.113 Co
2.627 -2.059 0.000 Co
1.347 -4.082 3.113 Co
0.752 2.077 1.896 Ge
-0.103 0.000 4.865 Ge
0.752 -2.077 1.896 Ge
1.942 2.077 4.330 Ge
2.797 0.000 1.361 Ge
1.942 -2.077 4.330 Ge
```

***

The following is a computed powder XRD pattern of CrNi6Sb. It was derived from a crystal structure in Alexandria, relaxed with GGA-PBE, using Cu Ka.
Lines closer than 0.1° are merged.

Peak list (6 most intense, 10° ≤ 2θ ≤ 90°, in order of rising 2θ)
| two_theta | d_spacing | I_rel |
| --- | --- | --- |
| 43.00 | 2.104 | 100 |
| 49.99 | 1.825 | 32 |
| 50.24 | 1.816 | 15 |
| 73.59 | 1.287 | 17 |
| 89.01 | 1.100 | 22 |
| 89.39 | 1.096 | 10 |

```
CrNi6Sb
1.0
3.649 0.000 0.000
0.000 3.649 0.000
0.000 0.000 7.264
Cr Ni Sb
1 6 1
Cartesian
0.000 0.000 0.000 Cr
0.000 1.825 1.713 Ni
0.000 1.825 5.551 Ni
1.825 0.000 1.713 Ni
1.825 0.000 5.551 Ni
1.825 1.825 0.000 Ni
1.825 1.825 3.632 Ni
0.000 0.000 3.632 Sb
```

***

The following is a computed powder XRD pattern of In4CuRh3. It was derived from a crystal structure in Alexandria, relaxed with GGA-PBE, using Cu Ka.
Lines closer than 0.1° are merged.

Peak list (6 most intense, 10° ≤ 2θ ≤ 90°, in order of rising 2θ)
| two_theta | d_spacing | I_rel |
| --- | --- | --- |
| 38.66 | 2.329 | 100 |
| 40.59 | 2.223 | 44 |
| 52.78 | 1.734 | 10 |
| 58.75 | 1.572 | 14 |
| 68.62 | 1.368 | 13 |
| 72.56 | 1.303 | 30 |

```
In4CuRh3
1.0
7.282 -2.223 0.000
7.282 2.223 0.000
-1.350 0.000 4.235
In Cu Rh
4 1 3
Cartesian
1.663 0.000 0.534 In
4.944 0.000 1.584 In
8.270 0.000 2.651 In
11.551 0.000 3.701 In
-0.675 0.000 2.118 Cu
2.688 0.000 3.196 Rh
7.282 0.000 0.000 Rh
10.525 0.000 1.040 Rh
```

***

The following is a computed powder XRD pattern of Hf6MnIr5. It was derived from a crystal structure in Alexandria, relaxed with GGA-PBE, using Cu Ka.
Lines closer than 0.1° are merged.

Peak list (6 most intense, 10° ≤ 2θ ≤ 90°, in order of rising 2θ)
| two_theta | d_spacing | I_rel |
| --- | --- | --- |
| 38.62 | 2.331 | 25 |
| 39.02 | 2.308 | 25 |
| 39.12 | 2.303 | 100 |
| 56.07 | 1.640 | 17 |
| 70.22 | 1.340 | 17 |
| 70.75 | 1.332 | 18 |

```
Hf6MnIr5
1.0
-2.308 3.233 6.994
2.308 -3.233 6.994
2.308 3.233 -6.994
Hf Mn Ir
6 1 5
Cartesian
2.308 1.621 -2.290 Hf
0.000 1.613 0.000 Hf
2.308 1.621 2.290 Hf
0.000 1.612 4.704 Hf
0.000 4.853 0.000 Hf
0.000 1.612 9.283 Hf
2.308 0.000 0.000 Mn
0.000 0.000 2.235 Ir
2.308 0.000 4.506 Ir
0.000 0.000 6.994 Ir
0.000 3.233 2.487 Ir
0.000 0.000 11.753 Ir
```

***

The following is a computed powder XRD pattern of Rb3Cd4In. It was derived from a crystal structure in Alexandria, relaxed with GGA-PBE, using Cu Ka.
Lines closer than 0.1° are merged.

Peak list (6 most intense, 10° ≤ 2θ ≤ 90°, in order of rising 2θ)
| two_theta | d_spacing | I_rel |
| --- | --- | --- |
| 13.53 | 6.543 | 53 |
| 26.91 | 3.313 | 90 |
| 27.12 | 3.288 | 100 |
| 27.26 | 3.271 | 59 |
| 29.84 | 2.994 | 80 |
| 35.20 | 2.550 | 51 |

```
Rb3Cd4In
1.0
-3.367 3.992 5.709
3.367 -3.992 5.709
3.367 3.992 -5.709
Rb Cd In
3 4 1
Cartesian
0.000 0.000 0.000 Rb
3.367 2.034 1.765 Rb
0.000 1.958 7.474 Rb
3.367 1.538 -2.038 Cd
1.791 3.992 -1.205 Cd
1.577 0.000 4.504 Cd
0.000 2.454 3.671 Cd
0.000 3.992 1.133 In
```

***

The following is a computed powder XRD pattern of NaLiHg. It was derived from a crystal structure in Alexandria, relaxed with GGA-PBE, using Cu Ka.
Lines closer than 0.1° are merged.

Peak list (6 most intense, 10° ≤ 2θ ≤ 90°, in order of rising 2θ)
| two_theta | d_spacing | I_rel |
| --- | --- | --- |
| 20.57 | 4.318 | 100 |
| 35.00 | 2.564 | 71 |
| 36.02 | 2.493 | 39 |
| 46.23 | 1.964 | 24 |
| 51.10 | 1.787 | 24 |
| 64.10 | 1.453 | 25 |

```
NaLiHg
1.0
4.986 0.000 0.000
-2.493 4.318 0.000
0.000 0.000 3.186
Na Li Hg
1 1 1
Cartesian
0.000 0.000 0.000 Na
0.000 2.879 2.017 Li
2.493 1.439 1.359 Hg
```

***

The following is a computed powder XRD pattern of Re5As. It was derived from a crystal structure in Alexandria, relaxed with GGA-PBE, using Cu Ka.
Lines closer than 0.1° are merged.

Peak list (6 most intense, 10° ≤ 2θ ≤ 90°, in order of rising 2θ)
| two_theta | d_spacing | I_rel |
| --- | --- | --- |
| 40.13 | 2.247 | 100 |
| 44.52 | 2.035 | 38 |
| 50.78 | 1.798 | 12 |
| 64.79 | 1.439 | 13 |
| 69.80 | 1.347 | 18 |
| 79.02 | 1.212 | 28 |

```
Re5As
1.0
2.878 0.000 0.000
0.000 2.878 0.000
0.000 0.000 10.787
Re As
5 1
Cartesian
0.000 0.000 0.000 Re
0.000 0.000 3.708 Re
0.000 0.000 7.079 Re
1.439 1.439 1.915 Re
1.439 1.439 8.872 Re
1.439 1.439 5.394 As
```

***

The following is a computed powder XRD pattern of DyZr3Sc. It was derived from a crystal structure in Alexandria, relaxed with GGA-PBE, using Cu Ka.
Lines closer than 0.1° are merged.

Peak list (6 most intense, 10° ≤ 2θ ≤ 90°, in order of rising 2θ)
| two_theta | d_spacing | I_rel |
| --- | --- | --- |
| 17.76 | 4.993 | 24 |
| 30.70 | 2.912 | 39 |
| 33.90 | 2.644 | 100 |
| 37.64 | 2.389 | 83 |
| 46.41 | 1.957 | 25 |
| 69.47 | 1.353 | 24 |

```
DyZr3Sc
1.0
2.641 -7.643 0.000
2.641 7.643 0.000
0.000 0.000 6.299
Dy Zr Sc
2 6 2
Cartesian
2.641 7.509 4.725 Dy
2.641 -7.509 1.575 Dy
2.641 4.638 3.173 Zr
2.641 4.638 6.276 Zr
2.641 1.967 1.575 Zr
2.641 -1.967 4.725 Zr
2.641 -4.638 0.023 Zr
2.641 -4.638 3.126 Zr
2.641 1.806 4.725 Sc
2.641 -1.806 1.575 Sc
```

***

The following is a computed powder XRD pattern of Y3HoPd3. It was derived from a crystal structure in Alexandria, relaxed with GGA-PBE, using Cu Ka.
Lines closer than 0.1° are merged.

Peak list (6 most intense, 10° ≤ 2θ ≤ 90°, in order of rising 2θ)
| two_theta | d_spacing | I_rel |
| --- | --- | --- |
| 32.38 | 2.765 | 82 |
| 34.41 | 2.606 | 71 |
| 35.73 | 2.513 | 100 |
| 37.74 | 2.384 | 38 |
| 38.99 | 2.310 | 39 |
| 54.57 | 1.682 | 31 |

```
Y3HoPd3
1.0
4.622 -5.212 0.000
4.622 5.212 0.000
-0.265 0.000 7.108
Y Ho Pd
6 2 6
Cartesian
4.622 3.374 0.000 Y
4.490 2.576 3.554 Y
3.178 0.000 0.950 Y
5.801 0.000 6.158 Y
4.490 -2.576 3.554 Y
4.622 -3.374 0.000 Y
2.231 0.000 4.433 Ho
6.748 0.000 2.676 Ho
2.188 2.521 5.550 Pd
0.491 0.000 2.203 Pd
6.792 2.521 1.558 Pd
2.188 -2.521 5.550 Pd
8.488 0.000 4.905 Pd
6.792 -2.521 1.558 Pd
```

***

The following is a computed powder XRD pattern of Er12InCu5. It was derived from a crystal structure in Alexandria, relaxed with GGA-PBE, using Cu Ka.
Lines closer than 0.1° are merged.

Peak list (6 most intense, 10° ≤ 2θ ≤ 90°, in order of rising 2θ)
| two_theta | d_spacing | I_rel |
| --- | --- | --- |
| 32.19 | 2.781 | 100 |
| 34.25 | 2.618 | 54 |
| 34.76 | 2.581 | 56 |
| 35.29 | 2.543 | 37 |
| 38.45 | 2.341 | 27 |
| 60.25 | 1.536 | 29 |

```
Er12InCu5
1.0
-4.682 4.766 5.021
4.682 -4.766 5.021
4.682 4.766 -5.021
Er In Cu
12 1 5
Cartesian
4.682 2.942 -2.710 Er
2.619 1.721 0.000 Er
6.745 1.721 0.000 Er
1.856 4.766 -1.793 Er
2.826 0.000 3.228 Er
0.000 1.823 2.311 Er
4.682 2.942 2.710 Er
1.856 4.766 1.793 Er
2.826 0.000 6.814 Er
-2.063 3.044 5.021 Er
2.063 3.044 5.021 Er
0.000 1.823 7.731 Er
0.000 0.000 5.021 In
0.000 0.000 0.000 Cu
4.682 0.000 1.219 Cu
0.000 3.397 0.000 Cu
0.000 6.134 0.000 Cu
0.000 4.766 3.802 Cu
```